Diffraction record for MgCo4Sb2O12. The XRD peak list is theoretical, not measured: it uses a structure optimized by DFT (PBE+U) and a wavelength of 1.5418 Å.

Peak list (10 most intense, 10° ≤ 2θ ≤ 90°, sorted by position)
| (hkl) | 2theta | I_rel |
| --- | --- | --- |
| 0 0 2 | 17.40 | 1000 |
| 1 0 -1 | 21.49 | 97 |
| 1 -1 0 | 34.02 | 118 |
| 1 2 1 | 35.55 | 105 |
| 1 2 -1 | 35.78 | 84 |
| 2 1 1 | 35.93 | 183 |
| -1 1 2 | 38.31 | 99 |
| 1 -1 2 | 38.61 | 107 |
| 1 2 3 | 43.59 | 92 |
| 2 1 -3 | 44.18 | 185 |

abc: 5.157 5.198 10.194
angles: 89.25 89.77 61.20
Sites, in units of the cell vectors:
1 Mg 0.000 0.000 0.000
2 Co 0.022 0.820 0.255
3 Co 0.177 0.988 0.723
4 Co 0.522 0.318 0.753
5 Co 0.693 0.487 0.254
6 Sb 0.352 0.153 0.257
7 Sb 0.851 0.655 0.754
8 O 0.009 0.500 0.158
9 O 0.027 0.129 0.353
10 O 0.156 0.684 0.864
11 O 0.196 0.333 0.659
12 O 0.313 0.854 0.143
13 O 0.359 0.500 0.342
14 O 0.515 0.995 0.847
15 O 0.529 0.628 0.656
16 O 0.694 0.811 0.347
17 O 0.707 0.143 0.154
18 O 0.849 0.308 0.853
19 O 0.867 0.967 0.643